[1]
Computed powder X-ray diffraction pattern
Compound: Cs2Ga3As5O18
Radiation: Cu Kα (λ = 1.5418 Å)
Structure: a DFT-relaxed cell (PBE, the Materials Project)
Peak positions follow from Bragg's law for the DFT cell and can differ from measured ones.

Most intense lines, 5 to 70 degrees two-theta, low angle first:
22.18 deg, 4.008 Å, I = 19; 24.24 deg, 3.672 Å, I = 21; 24.54 deg, 3.627 Å, I = 57; 24.73 deg, 3.600 Å, I = 16; 26.86 deg, 3.319 Å, I = 17; 28.11 deg, 3.175 Å, I = 12; 28.44 deg, 3.138 Å, I = 100; 34.47 deg, 2.602 Å, I = 19; 34.63 deg, 2.590 Å, I = 14; 46.21 deg, 1.965 Å, I = 13

Atomic structure:
a = 14.0277 Å, b = 14.0277 Å, c = 12.7295 Å
α = 93.92°, β = 93.92°, γ = 21.38°
Fractional coordinates of all 56 atoms:
Cs 0.0741 0.1831 0.3394
Cs 0.1831 0.0741 0.8394
Cs 0.8169 0.9259 0.1606
Cs 0.9259 0.8169 0.6606
Ga 0.0000 0.0000 0.0000
Ga 0.0000 0.0000 0.5000
Ga 0.2321 0.3690 0.3860
Ga 0.3690 0.2321 0.8860
Ga 0.6310 0.7679 0.1140
Ga 0.7679 0.6310 0.6140
As 0.2034 0.3379 0.1268
As 0.2467 0.7533 0.2500
As 0.3379 0.2034 0.6268
As 0.4286 0.4329 0.9156
As 0.4329 0.4286 0.4156
As 0.5671 0.5714 0.5844
As 0.5714 0.5671 0.0844
As 0.6621 0.7966 0.3732
As 0.7533 0.2467 0.7500
As 0.7966 0.6621 0.8732
O 0.0555 0.8994 0.1448
O 0.1006 0.9445 0.3552
O 0.1169 0.7613 0.9375
O 0.1315 0.3447 0.8846
O 0.1396 0.2885 0.6202
O 0.2387 0.8831 0.5625
O 0.2711 0.6482 0.5090
O 0.2841 0.3375 0.5361
O 0.2885 0.1396 0.1202
O 0.2881 0.4566 0.3886
O 0.2991 0.3136 0.7390
O 0.3136 0.2991 0.2390
O 0.3375 0.2841 0.0361
O 0.3447 0.1315 0.3846
O 0.3518 0.7289 0.9910
O 0.4041 0.5011 0.2843
O 0.4566 0.2881 0.8886
O 0.4989 0.5959 0.2157
O 0.5011 0.4041 0.7843
O 0.5434 0.7119 0.1114
O 0.5959 0.4989 0.7157
O 0.6482 0.2711 0.0090
O 0.6553 0.8685 0.6154
O 0.6625 0.7159 0.9639
O 0.6864 0.7009 0.7610
O 0.7009 0.6864 0.2610
O 0.7119 0.5434 0.6114
O 0.7115 0.8604 0.8798
O 0.7159 0.6625 0.4639
O 0.7289 0.3518 0.4910
O 0.7613 0.1169 0.4375
O 0.8604 0.7115 0.3798
O 0.8685 0.6553 0.1154
O 0.8831 0.2387 0.0625
O 0.8994 0.0555 0.6448
O 0.9445 0.1006 0.8552



[2]
Computed powder X-ray diffraction pattern
Compound: TiZn2O4
Radiation: Cu Kα (λ = 1.5418 Å)
Structure: a DFT-relaxed cell (PBE, the Materials Project)
Peak positions follow from Bragg's law for the DFT cell and can differ from measured ones.

Most intense lines, 5 to 70 degrees two-theta, low angle first:
29.35 deg, 3.044 Å, I = 54; 29.66 deg, 3.012 Å, I = 24; 34.21 deg, 2.621 Å, I = 80; 34.91 deg, 2.570 Å, I = 58; 35.08 deg, 2.558 Å, I = 100; 42.64 deg, 2.120 Å, I = 22; 54.68 deg, 1.679 Å, I = 24; 56.20 deg, 1.637 Å, I = 28; 56.40 deg, 1.632 Å, I = 19; 60.87 deg, 1.522 Å, I = 67

Atomic structure:
a = 6.0900 Å, b = 6.0900 Å, c = 6.0900 Å
α = 121.28°, β = 120.72°, γ = 88.28°
Fractional coordinates of all 14 atoms:
Ti 0.0000 0.0000 0.0000
Ti 0.5000 0.0000 0.5000
Zn 0.0000 0.0000 0.5000
Zn 0.0000 0.5000 0.0000
Zn 0.3890 0.6390 0.7500
Zn 0.6110 0.3610 0.2500
O 0.2110 0.2247 0.9863
O 0.2541 0.2271 0.4730
O 0.2541 0.7811 0.0270
O 0.2616 0.7753 0.4863
O 0.7384 0.2247 0.5137
O 0.7459 0.2189 0.9730
O 0.7459 0.7729 0.5270
O 0.7890 0.7753 0.0137



[3]
Computed powder X-ray diffraction pattern
Compound: NaMg14Ni
Radiation: Cu Kα (λ = 1.5418 Å)
Structure: a DFT-relaxed cell (PBE, the Materials Project)
Peak positions follow from Bragg's law for the DFT cell and can differ from measured ones.

Most intense lines, 5 to 70 degrees two-theta, low angle first:
8.84 deg, 10.000 Å, I = 9; 32.25 deg, 2.776 Å, I = 25; 32.57 deg, 2.749 Å, I = 13; 35.92 deg, 2.500 Å, I = 35; 37.05 deg, 2.427 Å, I = 100; 37.33 deg, 2.409 Å, I = 48; 49.04 deg, 1.858 Å, I = 14; 57.92 deg, 1.592 Å, I = 17; 65.31 deg, 1.429 Å, I = 16; 69.52 deg, 1.352 Å, I = 9

Atomic structure:
a = 9.9995 Å, b = 6.3692 Å, c = 6.3692 Å
α = 60.64°, β = 90.00°, γ = 90.00°
Fractional coordinates of all 16 atoms:
Na 0.0000 0.0000 0.0000
Mg 0.0000 0.0025 0.4933
Mg 0.0000 0.4933 0.0025
Mg 0.2353 0.6591 0.6591
Mg 0.2414 0.1811 0.6567
Mg 0.2414 0.6567 0.1811
Mg 0.2591 0.1673 0.1673
Mg 0.5000 0.4987 0.4987
Mg 0.5000 0.5031 0.9971
Mg 0.5000 0.9971 0.5031
Mg 0.5000 0.9965 0.9965
Mg 0.7409 0.1673 0.1673
Mg 0.7586 0.1811 0.6567
Mg 0.7586 0.6567 0.1811
Mg 0.7647 0.6591 0.6591
Ni 0.0000 0.4981 0.4981



[4]
Computed powder X-ray diffraction pattern
Compound: DyFeGe2
Radiation: Cu Kα (λ = 1.5418 Å)
Structure: a DFT-relaxed cell (PBE, the Materials Project)
Peak positions follow from Bragg's law for the DFT cell and can differ from measured ones.

Most intense lines, 5 to 70 degrees two-theta, low angle first:
30.31 deg, 2.949 Å, I = 20; 34.16 deg, 2.625 Å, I = 100; 34.98 deg, 2.565 Å, I = 38; 39.19 deg, 2.299 Å, I = 26; 41.79 deg, 2.162 Å, I = 30; 43.48 deg, 2.081 Å, I = 26; 49.49 deg, 1.842 Å, I = 12; 55.60 deg, 1.653 Å, I = 23; 59.95 deg, 1.543 Å, I = 15; 61.88 deg, 1.499 Å, I = 18

Atomic structure:
a = 8.4055 Å, b = 8.4055 Å, c = 4.3233 Å
α = 90.00°, β = 90.00°, γ = 151.32°
Fractional coordinates of all 8 atoms:
Dy 0.1060 0.8940 0.7500
Dy 0.8940 0.1060 0.2500
Fe 0.3155 0.6845 0.7500
Fe 0.6845 0.3155 0.2500
Ge 0.2527 0.7473 0.2500
Ge 0.4562 0.5438 0.7500
Ge 0.5438 0.4562 0.2500
Ge 0.7473 0.2527 0.7500



[5]
Computed powder X-ray diffraction pattern
Compound: K3AsBr6
Radiation: Cu Kα (λ = 1.5418 Å)
Structure: a DFT-relaxed cell (PBE, the Materials Project)
Peak positions follow from Bragg's law for the DFT cell and can differ from measured ones.

Most intense lines, 5 to 70 degrees two-theta, low angle first:
13.27 deg, 6.671 Å, I = 21; 15.34 deg, 5.777 Å, I = 51; 26.73 deg, 3.335 Å, I = 85; 30.96 deg, 2.889 Å, I = 100; 34.72 deg, 2.584 Å, I = 22; 40.57 deg, 2.224 Å, I = 15; 44.35 deg, 2.043 Å, I = 67; 47.20 deg, 1.926 Å, I = 12; 52.54 deg, 1.742 Å, I = 30; 55.07 deg, 1.668 Å, I = 22

Atomic structure:
a = 8.1701 Å, b = 8.1701 Å, c = 8.1701 Å
α = 60.00°, β = 60.00°, γ = 60.00°
Fractional coordinates of all 10 atoms:
K 0.0000 0.0000 0.0000
K 0.2500 0.2500 0.2500
K 0.7500 0.7500 0.7500
As 0.5000 0.5000 0.5000
Br 0.2699 0.2699 0.7301
Br 0.2699 0.7301 0.2699
Br 0.2699 0.7301 0.7301
Br 0.7301 0.2699 0.2699
Br 0.7301 0.2699 0.7301
Br 0.7301 0.7301 0.2699